# 1
For TmZnGa, the GGA-PBE geometry in the Materials Project gives the theoretical powder XRD pattern in this record (a wavelength of 1.5418 Å).
Peak positions follow from Bragg's law for the DFT cell and can differ from measured ones.

Atomic structure:
abc: 4.4031 4.4031 7.0218
angles: 90.00 90.00 120.00
Space group P6_3/mmc (No. 194)
Asymmetric unit:
Tm: 0.0000 0.0000 0.0000 (multiplicity 2)
Zn: 0.3333 0.6667 0.2500 (multiplicity 2)
Ga: 0.3333 0.6667 0.7500 (multiplicity 2)

Top 10 peaks for 2θ = 10–80°, sorted by position:
23.3 deg, I 21; 34.7 deg, I 100; 41.0 deg, I 54; 47.7 deg, I 3; 52.1 deg, I 9; 54.8 deg, I 27; 57.8 deg, I 4; 68.3 deg, I 23; 70.6 deg, I 25; 74.7 deg, I 9

***

# 2
For MgMo6S8, the GGA-PBE geometry in the Materials Project gives the theoretical powder XRD pattern in this record (a wavelength of 1.5418 Å).
Peak positions follow from Bragg's law for the DFT cell and can differ from measured ones.

Atomic structure:
abc: 6.544 6.560 13.103
angles: 93.59 93.15 93.57
Space group P1 (No. 1)
Asymmetric unit:
Mg: 0.000 0.000 0.000 (multiplicity 1)
Mg: 0.142 0.820 0.519 (multiplicity 1)
Mo: 0.251 0.442 0.239 (multiplicity 1)
Mo: 0.259 0.441 0.741 (multiplicity 1)
Mo: 0.445 0.112 0.810 (multiplicity 1)
Mo: 0.446 0.114 0.309 (multiplicity 1)
Mo: 0.488 0.484 0.926 (multiplicity 1)
Mo: 0.489 0.482 0.424 (multiplicity 1)
Mo: 0.583 0.302 0.147 (multiplicity 1)
Mo: 0.585 0.302 0.646 (multiplicity 1)
Mo: 0.627 0.672 0.262 (multiplicity 1)
Mo: 0.628 0.675 0.762 (multiplicity 1)
Mo: 0.812 0.348 0.829 (multiplicity 1)
Mo: 0.819 0.343 0.332 (multiplicity 1)
S: 0.169 0.273 0.900 (multiplicity 1)
S: 0.170 0.273 0.398 (multiplicity 1)
S: 0.250 0.108 0.144 (multiplicity 1)
S: 0.250 0.108 0.644 (multiplicity 1)
S: 0.305 0.762 0.346 (multiplicity 1)
S: 0.310 0.758 0.848 (multiplicity 1)
S: 0.415 0.618 0.104 (multiplicity 1)
S: 0.416 0.621 0.603 (multiplicity 1)
S: 0.655 0.163 0.970 (multiplicity 1)
S: 0.657 0.167 0.468 (multiplicity 1)
S: 0.760 0.028 0.724 (multiplicity 1)
S: 0.764 0.026 0.225 (multiplicity 1)
S: 0.819 0.678 0.428 (multiplicity 1)
S: 0.820 0.677 0.928 (multiplicity 1)
S: 0.900 0.512 0.175 (multiplicity 1)
S: 0.903 0.517 0.672 (multiplicity 1)

Top 10 peaks for 2θ = 10–80°, sorted by position:
13.6 deg, I 100; 29.8 deg, I 9; 33.2 deg, I 9; 33.3 deg, I 18; 35.4 deg, I 11; 40.4 deg, I 8; 42.9 deg, I 9; 43.9 deg, I 9; 45.8 deg, I 21; 45.9 deg, I 11

***

# 3
For CsGaCl4, the GGA-PBE geometry in the Materials Project gives the theoretical powder XRD pattern in this record (a wavelength of 1.5418 Å).
Peak positions follow from Bragg's law for the DFT cell and can differ from measured ones.

Atomic structure:
abc: 11.968 7.333 9.676
angles: 90.00 90.00 90.00
Space group Pnma (No. 62)
Asymmetric unit:
Cs: 0.180 0.250 0.167 (multiplicity 4)
Ga: 0.070 0.250 0.693 (multiplicity 4)
Cl: 0.081 0.007 0.828 (multiplicity 8)
Cl: 0.091 0.750 0.416 (multiplicity 4)
Cl: 0.214 0.250 0.552 (multiplicity 4)

Top 10 peaks for 2θ = 10–80°, sorted by position:
18.3 deg, I 32; 19.1 deg, I 88; 19.8 deg, I 38; 21.3 deg, I 92; 23.2 deg, I 84; 24.3 deg, I 53; 26.6 deg, I 39; 31.3 deg, I 93; 31.5 deg, I 100; 53.9 deg, I 31

***

# 4
For Co2Pb3N4, the GGA-PBE geometry in the Materials Project gives the theoretical powder XRD pattern in this record (a wavelength of 1.5418 Å).
Peak positions follow from Bragg's law for the DFT cell and can differ from measured ones.

Atomic structure:
abc: 7.348 9.485 8.715
angles: 90.00 90.00 90.00
Space group Pnna (No. 52)
Asymmetric unit:
Co: 0.157 0.250 0.250 (multiplicity 4)
Co: 0.250 0.000 0.203 (multiplicity 4)
Pb: 0.000 0.191 0.557 (multiplicity 8)
Pb: 0.250 0.000 0.841 (multiplicity 4)
N: 0.061 0.082 0.305 (multiplicity 8)
N: 0.236 0.157 0.062 (multiplicity 8)

Top 10 peaks for 2θ = 10–80°, sorted by position:
24.6 deg, I 34; 27.8 deg, I 49; 28.0 deg, I 79; 30.1 deg, I 78; 30.8 deg, I 100; 31.9 deg, I 64; 34.5 deg, I 76; 49.3 deg, I 39; 49.6 deg, I 38; 55.5 deg, I 35

***

# 5
For Sc, the GGA-PBE geometry in the Materials Project gives the theoretical powder XRD pattern in this record (a wavelength of 1.5418 Å).
Peak positions follow from Bragg's law for the DFT cell and can differ from measured ones.

Atomic structure:
abc: 8.808 5.001 3.201
angles: 90.00 90.06 90.00
Space group C2/m (No. 12)
Asymmetric unit:
Sc: 0.000 0.000 0.000 (multiplicity 2)
Sc: 0.167 0.500 0.505 (multiplicity 4)

Top 10 peaks for 2θ = 10–80°, sorted by position:
34.6 deg, I 48; 34.8 deg, I 94; 35.5 deg, I 100; 35.9 deg, I 48; 50.3 deg, I 15; 50.8 deg, I 29; 63.0 deg, I 14; 63.3 deg, I 22; 64.3 deg, I 15; 69.5 deg, I 23

***

# 6
For K3Si3N5, the GGA-PBE geometry in the Materials Project gives the theoretical powder XRD pattern in this record (a wavelength of 1.5418 Å).
Peak positions follow from Bragg's law for the DFT cell and can differ from measured ones.

Atomic structure:
abc: 5.582 7.220 8.234
angles: 105.77 94.69 100.91
Space group P-1 (No. 2)
Asymmetric unit:
K: 0.129 0.325 0.410 (multiplicity 2)
K: 0.148 0.120 0.744 (multiplicity 2)
K: 0.333 0.928 0.115 (multiplicity 2)
Si: 0.187 0.475 0.094 (multiplicity 2)
Si: 0.424 0.594 0.783 (multiplicity 2)
Si: 0.433 0.823 0.483 (multiplicity 2)
N: 0.146 0.541 0.896 (multiplicity 2)
N: 0.281 0.002 0.445 (multiplicity 2)
N: 0.317 0.274 0.070 (multiplicity 2)
N: 0.349 0.700 0.632 (multiplicity 2)
N: 0.418 0.623 0.278 (multiplicity 2)

Top 10 peaks for 2θ = 10–80°, sorted by position:
27.8 deg, I 19; 28.2 deg, I 56; 31.7 deg, I 100; 32.7 deg, I 26; 34.5 deg, I 41; 35.1 deg, I 59; 36.0 deg, I 74; 38.4 deg, I 44; 38.6 deg, I 34; 42.6 deg, I 24

***

# 7
For Nd4GaSbS9, the GGA-PBE geometry in the Materials Project gives the theoretical powder XRD pattern in this record (a wavelength of 1.5418 Å).
Peak positions follow from Bragg's law for the DFT cell and can differ from measured ones.

Atomic structure:
abc: 13.856 14.289 14.508
angles: 90.00 90.00 90.00
Space group Aea2 (No. 41)
Asymmetric unit:
Nd: 0.101 0.172 0.000 (multiplicity 8)
Nd: 0.104 0.112 0.443 (multiplicity 8)
Nd: 0.180 0.166 0.715 (multiplicity 8)
Nd: 0.185 0.391 0.488 (multiplicity 8)
Ga: 0.093 0.396 0.226 (multiplicity 8)
Sb: 0.113 0.422 0.759 (multiplicity 8)
S: 0.000 0.000 0.005 (multiplicity 4)
S: 0.000 0.000 0.638 (multiplicity 4)
S: 0.003 0.194 0.821 (multiplicity 8)
S: 0.068 0.252 0.573 (multiplicity 8)
S: 0.079 0.092 0.245 (multiplicity 8)
S: 0.100 0.411 0.929 (multiplicity 8)
S: 0.190 0.304 0.131 (multiplicity 8)
S: 0.200 0.487 0.311 (multiplicity 8)
S: 0.248 0.235 0.382 (multiplicity 8)
S: 0.250 0.058 0.067 (multiplicity 8)

Top 10 peaks for 2θ = 10–80°, sorted by position:
24.5 deg, I 63; 24.9 deg, I 31; 25.7 deg, I 47; 26.1 deg, I 100; 32.6 deg, I 30; 32.7 deg, I 34; 33.5 deg, I 32; 35.3 deg, I 45; 35.9 deg, I 57; 49.4 deg, I 53

***

# 8
For Zn36Ga5Ni8, the GGA-PBE geometry in the Materials Project gives the theoretical powder XRD pattern in this record (a wavelength of 1.5418 Å).
Peak positions follow from Bragg's law for the DFT cell and can differ from measured ones.

Atomic structure:
abc: 8.871 8.871 8.871
angles: 90.00 90.00 90.00
Space group P-43m (No. 215)
Asymmetric unit:
Zn: 0.000 0.000 0.312 (multiplicity 6)
Zn: 0.055 0.294 0.294 (multiplicity 12)
Zn: 0.138 0.500 0.500 (multiplicity 6)
Zn: 0.180 0.180 0.539 (multiplicity 12)
Ga: 0.000 0.000 0.000 (multiplicity 1)
Ga: 0.385 0.385 0.615 (multiplicity 4)
Ni: 0.175 0.175 0.825 (multiplicity 4)
Ni: 0.335 0.335 0.335 (multiplicity 4)

Top 10 peaks for 2θ = 10–80°, sorted by position:
33.5 deg, I 6; 38.0 deg, I 5; 42.0 deg, I 11; 43.3 deg, I 100; 48.1 deg, I 4; 62.9 deg, I 8; 67.6 deg, I 4; 72.2 deg, I 4; 74.0 deg, I 4; 79.4 deg, I 14